Simulated powder diffraction line list
Compound: GdYI6
Radiation: Cu Kα
Structure: a structure optimized by DFT (GGA-PBE)
No peak broadening, texture or thermal motion is included.

Structural model:
Cell: 7.7011 13.3456 7.7674 Å, 90.00 108.92 90.00°
Atoms (fractional coordinates):
Gd  0.0000  0.0000  0.0000
Gd  0.5000  0.5000  0.0000
Y  0.0000  0.6678  0.0000
Y  0.5000  0.1678  0.0000
I  0.2233  0.8330  0.2441
I  0.2451  0.6582  0.7605
I  0.2478  0.0106  0.7603
I  0.2522  0.5106  0.2397
I  0.2549  0.1582  0.2395
I  0.2767  0.3330  0.7559
I  0.7233  0.3330  0.2441
I  0.7451  0.1582  0.7605
I  0.7478  0.5106  0.7603
I  0.7522  0.0106  0.2397
I  0.7549  0.6582  0.2395
I  0.7767  0.8330  0.7559

Top 10 peaks for 10° ≤ 2θ ≤ 90°, sorted by position:
2θ (°)  I (rel.)
12.0  31
13.8  18
24.2  20
24.5  54
28.2  100
28.4  49
40.1  19
40.3  37
40.6  53
50.2  19